[1]
Structure and computed powder diffraction line list of RbBi2B2Se6 (a GGA-PBE-relaxed structure; Cu Kα (weighted mean of Kα1 and Kα2)).
No peak broadening, texture or thermal motion is included.

Peak list (6 most intense, 10 to 90 degrees two-theta, by angle)
2theta  I/Imax
12.02  80
13.87  57
26.84  66
27.81  100
30.20  44
31.61  52

```
RbBi2B2Se6
1.0
6.5330 0.0000 0.0000
-1.3340 7.1097 0.0000
-2.2578 -3.6224 7.3638
Rb Bi B Se
1 2 2 6
Direct
0.0000 0.0000 0.0000
0.3057 0.9326 0.5909
0.6943 0.0674 0.4091
0.1733 0.4540 0.6977
0.8267 0.5460 0.3023
0.0989 0.6165 0.2493
0.1863 0.2382 0.4735
0.3983 0.7241 0.8483
0.6017 0.2759 0.1517
0.8137 0.7618 0.5265
0.9011 0.3835 0.7507
```

[2]
Structure and computed powder diffraction line list of Na2SbI4 (a GGA-PBE-relaxed structure; Cu Kα (weighted mean of Kα1 and Kα2)).
No peak broadening, texture or thermal motion is included.

Peak list (6 most intense, 10 to 90 degrees two-theta, by angle)
2theta  I/Imax
19.76  29
21.98  38
25.21  100
31.28  64
40.58  54
43.27  26

```
Na2SbI4
1.0
-4.0442 4.0442 4.4933
4.0442 -4.0442 4.4933
4.0442 4.0442 -4.4933
Na Sb I
2 1 4
Direct
0.2500 0.7500 0.5000
0.7500 0.2500 0.5000
0.0000 0.0000 0.0000
0.1811 0.1811 0.5167
0.3355 0.8189 0.0000
0.6645 0.6645 0.4834
0.8189 0.3355 0.0000
```

[3]
Structure and computed powder diffraction line list of Na2In4Sn3 (a GGA-PBE-relaxed structure; Cu Kα (weighted mean of Kα1 and Kα2)).
No peak broadening, texture or thermal motion is included.

Peak list (6 most intense, 10 to 90 degrees two-theta, by angle)
2theta  I/Imax
31.32  40
32.09  75
32.49  43
32.71  74
34.86  52
35.60  100

```
Na2In4Sn3
1.0
6.2392 0.0000 0.0000
-1.0704 8.7729 0.0000
-0.4260 -2.0186 9.1553
Na In Sn
4 8 6
Direct
0.1702 0.2238 0.0111
0.2599 0.9900 0.2583
0.7401 0.0100 0.7417
0.8298 0.7762 0.9889
0.0305 0.3281 0.3829
0.2208 0.0277 0.6189
0.2974 0.5979 0.0457
0.4855 0.6224 0.6942
0.5145 0.3776 0.3058
0.7026 0.4021 0.9543
0.7792 0.9723 0.3811
0.9695 0.6719 0.6171
0.0926 0.3711 0.7259
0.3194 0.8860 0.9017
0.4035 0.7114 0.4027
0.5965 0.2886 0.5973
0.6806 0.1140 0.0983
0.9074 0.6289 0.2741
```

[4]
Structure and computed powder diffraction line list of Hf3ZrSc (a GGA-PBE-relaxed structure; Cu Kα (weighted mean of Kα1 and Kα2)).
No peak broadening, texture or thermal motion is included.

Peak list (6 most intense, 10 to 90 degrees two-theta, by angle)
2theta  I/Imax
16.48  53
29.42  100
35.92  42
37.78  96
39.04  70
41.62  54

```
Hf3ZrSc
1.0
3.6774 2.1232 5.3805
-3.6774 2.1232 5.3805
0.0000 -4.2463 5.3805
Hf Zr Sc
6 2 2
Direct
0.0262 0.7409 0.5636
0.2591 0.4364 0.9738
0.4364 0.9738 0.2591
0.5636 0.0262 0.7409
0.7409 0.5636 0.0262
0.9738 0.2591 0.4364
0.0823 0.0823 0.0823
0.9177 0.9177 0.9177
0.3966 0.3966 0.3966
0.6034 0.6034 0.6034
```

[5]
Structure and computed powder diffraction line list of SmErPI (a GGA-PBE-relaxed structure; Cu Kα (weighted mean of Kα1 and Kα2)).
No peak broadening, texture or thermal motion is included.

Peak list (6 most intense, 10 to 90 degrees two-theta, by angle)
2theta  I/Imax
25.53  34
29.90  63
32.26  100
44.42  49
55.95  21
58.48  28

```
SmErPI
1.0
2.0394 1.1775 7.4749
-2.0394 1.1775 7.4749
0.0000 -2.3549 7.4749
Sm Er P I
1 1 1 1
Direct
0.0000 0.0000 0.0000
0.7942 0.7942 0.7942
0.4026 0.4026 0.4026
0.2273 0.2273 0.2273
```

[6]
Structure and computed powder diffraction line list of ErGa2Tc2B (a GGA-PBE-relaxed structure; Cu Kα (weighted mean of Kα1 and Kα2)).
No peak broadening, texture or thermal motion is included.

Peak list (6 most intense, 10 to 90 degrees two-theta, by angle)
2theta  I/Imax
26.73  23
34.26  100
39.44  46
42.82  50
59.64  39
72.93  22

```
ErGa2Tc2B
1.0
4.2241 0.0000 0.0000
0.0000 4.2241 0.0000
0.0000 0.0000 5.4335
Er Ga Tc B
1 2 2 1
Direct
0.0000 0.0000 0.0000
0.5000 0.5000 0.2256
0.5000 0.5000 0.7744
0.0000 0.5000 0.5000
0.5000 0.0000 0.5000
0.0000 0.0000 0.5000
```

[7]
Structure and computed powder diffraction line list of La3Ni3Pb (a GGA-PBE-relaxed structure; Cu Kα (weighted mean of Kα1 and Kα2)).
No peak broadening, texture or thermal motion is included.

Peak list (6 most intense, 10 to 90 degrees two-theta, by angle)
2theta  I/Imax
28.18  100
30.05  85
31.05  97
35.13  93
42.42  58
51.19  67

```
La3Ni3Pb
1.0
9.9766 0.0000 0.0000
-4.9883 8.6400 0.0000
0.0000 0.0000 4.0996
La Ni Pb
6 6 2
Direct
0.0555 0.6899 0.2500
0.3101 0.3655 0.2500
0.3655 0.0555 0.7500
0.6345 0.9445 0.2500
0.6899 0.6345 0.7500
0.9445 0.3101 0.7500
0.0185 0.8660 0.7500
0.1340 0.1525 0.7500
0.1525 0.0185 0.2500
0.8475 0.9815 0.7500
0.8660 0.8475 0.2500
0.9815 0.1340 0.2500
0.3333 0.6667 0.7500
0.6667 0.3333 0.2500
```

[8]
Structure and computed powder diffraction line list of NdY3Bi4 (a GGA-PBE-relaxed structure; Cu Kα (weighted mean of Kα1 and Kα2)).
No peak broadening, texture or thermal motion is included.

Peak list (6 most intense, 10 to 90 degrees two-theta, by angle)
2theta  I/Imax
24.14  20
27.94  100
39.93  78
49.43  28
65.34  37
72.50  27

```
NdY3Bi4
1.0
4.5142 -6.3855 0.0000
4.5142 6.3855 0.0000
0.0000 0.0000 4.5187
Nd Y Bi
1 3 4
Direct
0.0000 0.0000 0.0000
0.0000 0.5000 0.5000
0.5000 0.0000 0.5000
0.5000 0.5000 0.0000
0.2527 0.7473 0.0000
0.2554 0.2554 0.5000
0.7446 0.7446 0.5000
0.7473 0.2527 0.0000
```